The following is a theoretical powder diffractogram of TmIn2FeO6. It was derived from a cell relaxed with PBE+U, using Cu Kα (weighted mean of Kα1 and Kα2).
No peak broadening, texture or thermal motion is included.

Crystal structure
Cell lengths 5.4915, 5.4915, 14.6681 Å; angles 90.00, 90.00, 120.00 degrees
Space group R3 (No. 146, hexagonal axes)
Symmetry-distinct sites (fractional):
Tm  0.0000  0.0000  0.0000 [3 per cell]
In  0.0000  0.0000  0.2818 [3 per cell]
In  0.0000  0.0000  0.7861 [3 per cell]
Fe  0.0000  0.0000  0.4932 [3 per cell]
O  0.0367  0.3454  0.5581 [9 per cell]
O  0.0468  0.6678  0.0632 [9 per cell]

Largest 10 diffraction maxima, by angle, 10 to 80 degrees two-theta:
2θ (°)  I (rel.)
19.6  20
22.3  19
30.8  100
32.6  91
45.5  40
50.0  34
57.1  38
58.2  28
66.7  14
76.8  13